(1)
Starting from the GGA-PBE geometry in Alexandria, the X-ray powder pattern of Er2MgZrN4 was simulated for Cu Ka.
Intensities are scaled so that the largest is 100.

Structural model:
```
8
Lattice="5.7366 0.0000 0.0000 0.0000 3.3377 0.0000 -1.8977 0.0000 5.4174" Properties=species:S:1:pos:R:3 pbc="T T T"
Er 0.0000 0.0000 0.0000
Er -0.9488 1.6689 2.7087
Mg 1.9195 0.0000 2.7087
Zr 2.8683 1.6689 0.0000
N 1.0207 1.6689 1.3149
N 0.0568 0.0000 4.1160
N 3.7822 0.0000 1.3014
N 2.8182 1.6689 4.1026
```

The 10 most intense peaks (2θ = 10–90°), low angle first:
- 2θ = 16.37°, intensity 76
- 2θ = 31.48°, intensity 33
- 2θ = 32.96°, intensity 92
- 2θ = 33.08°, intensity 92
- 2θ = 38.24°, intensity 100
- 2θ = 38.47°, intensity 49
- 2θ = 55.36°, intensity 82
- 2θ = 65.73°, intensity 27
- 2θ = 65.94°, intensity 27
- 2θ = 66.15°, intensity 27

***

(2)
Starting from the GGA-PBE geometry in Alexandria, the X-ray powder pattern of Nd6ErMg2 was simulated for Cu Ka.
Intensities are scaled so that the largest is 100.

Structural model:
```
18
Lattice="8.3638 -5.8984 0.0000 8.3638 5.8984 0.0000 -0.8825 0.0000 5.8623" Properties=species:S:1:pos:R:3 pbc="T T T"
Nd 6.4792 4.5943 5.6580
Nd 4.3432 1.3738 0.8624
Nd 8.9247 4.5943 3.1354
Nd 5.9245 1.2970 4.1138
Nd 3.9020 -1.3738 3.7935
Nd 9.4793 1.2970 4.6797
Nd 6.3658 -1.2970 1.1826
Nd 11.9431 1.3738 2.0688
Nd 9.9206 -1.2970 1.7485
Nd 6.9204 -4.5943 2.7269
Nd 11.5019 -1.3738 4.9999
Nd 9.3659 -4.5943 0.2043
Er 8.1432 1.7312 1.4656
Er 7.7019 -1.7312 4.3967
Mg 2.1630 1.6370 3.4658
Mg 2.6042 -1.6370 0.5347
Mg 13.2408 1.6370 5.3276
Mg 13.6821 -1.6370 2.3965
```

The 10 most intense peaks (2θ = 10–90°), low angle first:
- 2θ = 29.94°, intensity 56
- 2θ = 30.31°, intensity 54
- 2θ = 31.12°, intensity 61
- 2θ = 32.10°, intensity 100
- 2θ = 37.04°, intensity 40
- 2θ = 38.03°, intensity 24
- 2θ = 49.38°, intensity 19
- 2θ = 54.98°, intensity 16
- 2θ = 55.68°, intensity 20
- 2θ = 57.34°, intensity 15

***

(3)
Starting from the GGA-PBE geometry in Alexandria, the X-ray powder pattern of Nd3ErMg4 was simulated for Cu Ka.
Intensities are scaled so that the largest is 100.

Structural model:
```
8
Lattice="3.8751 0.0000 0.0000 0.0000 5.4343 0.0000 0.0000 0.0000 10.8873" Properties=species:S:1:pos:R:3 pbc="T T T"
Nd 0.0000 0.0000 0.0000
Nd 0.0000 2.7171 2.7450
Nd 0.0000 2.7171 8.1422
Er 0.0000 0.0000 5.4436
Mg 1.9376 0.0000 2.7885
Mg 1.9376 0.0000 8.0987
Mg 1.9376 2.7171 0.0000
Mg 1.9376 2.7171 5.4436
```

The 10 most intense peaks (2θ = 10–90°), low angle first:
- 2θ = 22.95°, intensity 24
- 2θ = 23.13°, intensity 48
- 2θ = 32.83°, intensity 100
- 2θ = 32.97°, intensity 20
- 2θ = 40.53°, intensity 22
- 2θ = 47.27°, intensity 14
- 2θ = 52.91°, intensity 10
- 2θ = 53.19°, intensity 15
- 2θ = 58.49°, intensity 15
- 2θ = 58.73°, intensity 30

***

(4)
Starting from the GGA-PBE geometry in Alexandria, the X-ray powder pattern of Nd12Er7Mg was simulated for Cu Ka.
Intensities are scaled so that the largest is 100.

Structural model:
```
20
Lattice="7.5511 4.3596 3.3954 -7.5511 4.3596 3.3954 0.0000 -8.7193 3.3954" Properties=species:S:1:pos:R:3 pbc="T T T"
Nd -2.5750 -0.5543 2.5537
Nd -1.2228 -3.2743 4.3260
Nd 1.7675 -1.9529 2.5538
Nd -3.4470 -0.5782 5.8601
Nd -2.2242 2.6961 4.3260
Nd 0.8075 2.5072 2.5538
Nd -0.8075 -2.5072 7.6323
Nd 2.2242 -2.6961 5.8601
Nd 3.4470 0.5782 4.3260
Nd -1.7676 1.9529 7.6323
Nd 1.2228 3.2743 5.8601
Nd 2.5751 0.5543 7.6323
Er -2.3358 -6.4134 4.1389
Er -6.7221 -1.1839 6.0472
Er -4.3863 5.2295 4.1389
Er 0.0000 0.0000 5.0930
Er 4.3863 -5.2295 6.0472
Er 6.7221 1.1839 4.1389
Er 2.3358 6.4134 6.0472
Mg 0.0000 0.0000 0.0000
```

The 10 most intense peaks (2θ = 10–90°), low angle first:
- 2θ = 28.67°, intensity 13
- 2θ = 28.83°, intensity 44
- 2θ = 30.25°, intensity 22
- 2θ = 31.07°, intensity 14
- 2θ = 31.34°, intensity 100
- 2θ = 33.45°, intensity 49
- 2θ = 35.56°, intensity 37
- 2θ = 49.64°, intensity 14
- 2θ = 51.24°, intensity 21
- 2θ = 63.79°, intensity 19

***

(5)
Starting from the GGA-PBE geometry in Alexandria, the X-ray powder pattern of Nd3Er3Mg was simulated for Cu Ka.
Intensities are scaled so that the largest is 100.

Structural model:
```
14
Lattice="7.9963 0.0000 0.0000 0.0000 5.0102 0.0000 -1.7094 0.0000 11.0601" Properties=species:S:1:pos:R:3 pbc="T T T"
Nd -0.4038 1.2525 2.7728
Nd 1.0550 1.2525 7.5378
Nd 2.8646 1.2525 4.3516
Nd 3.4223 3.7576 6.7084
Nd 5.2319 3.7576 3.5223
Nd 6.6906 3.7576 8.2873
Er -0.5054 1.2525 10.6975
Er 1.9928 3.7576 1.9987
Er 1.9129 3.7576 9.8910
Er 4.3740 1.2525 1.1691
Er 4.2941 1.2525 9.0614
Er 6.7923 3.7576 0.3626
Mg 0.3176 3.7576 5.1347
Mg 5.9693 1.2525 5.9254
```

The 10 most intense peaks (2θ = 10–90°), low angle first:
- 2θ = 30.85°, intensity 100
- 2θ = 35.44°, intensity 17
- 2θ = 35.85°, intensity 17
- 2θ = 36.01°, intensity 17
- 2θ = 51.29°, intensity 12
- 2θ = 51.42°, intensity 12
- 2θ = 60.79°, intensity 14
- 2θ = 61.33°, intensity 15
- 2θ = 61.56°, intensity 14
- 2θ = 64.26°, intensity 12

***

(6)
Starting from the GGA-PBE geometry in Alexandria, the X-ray powder pattern of Nd3Er3Mg2 was simulated for Cu Ka.
Intensities are scaled so that the largest is 100.

Structural model:
```
16
Lattice="2.6740 -5.8910 0.0000 2.6740 5.8910 0.0000 0.0000 0.0000 15.7557" Properties=species:S:1:pos:R:3 pbc="T T T"
Nd 2.6740 5.4466 9.5173
Nd 2.6740 5.4466 14.1161
Nd 2.6740 2.9678 11.8167
Nd 2.6740 -2.9678 3.9389
Nd 2.6740 -5.4466 1.6395
Nd 2.6740 -5.4466 6.2383
Er 2.6740 1.7041 8.4327
Er 2.6740 1.7041 15.2008
Er 2.6740 0.2744 3.9389
Er 2.6740 -0.2744 11.8167
Er 2.6740 -1.7041 0.5549
Er 2.6740 -1.7041 7.3230
Mg 2.6740 3.1589 2.2624
Mg 2.6740 3.1589 5.6154
Mg 2.6740 -3.1589 10.1402
Mg 2.6740 -3.1589 13.4933
```

The 10 most intense peaks (2θ = 10–90°), low angle first:
- 2θ = 19.08°, intensity 31
- 2θ = 28.19°, intensity 23
- 2θ = 29.16°, intensity 100
- 2θ = 30.43°, intensity 77
- 2θ = 32.45°, intensity 34
- 2θ = 33.04°, intensity 60
- 2θ = 33.51°, intensity 58
- 2θ = 33.88°, intensity 36
- 2θ = 47.34°, intensity 24
- 2θ = 59.35°, intensity 18